Computed X-ray diffraction stick pattern of Cs4Pb9 for λ = 1.5418 Å (Cu Kα), from a structure optimized by DFT (GGA-PBE).
Neutral-atom scattering factors, no anomalous dispersion.

Structure:
a = 10.353 Å, b = 15.214 Å, c = 17.762 Å
α = 90.00°, β = 115.19°, γ = 90.00°
Sites, in units of the cell vectors:
Cs: 0.133 0.230 0.120
Cs: 0.133 0.270 0.620
Cs: 0.230 0.569 0.340
Cs: 0.230 0.931 0.840
Cs: 0.270 0.540 0.014
Cs: 0.270 0.960 0.514
Cs: 0.305 0.229 0.908
Cs: 0.305 0.271 0.408
Cs: 0.695 0.729 0.592
Cs: 0.695 0.771 0.092
Cs: 0.730 0.040 0.486
Cs: 0.730 0.460 0.986
Cs: 0.770 0.069 0.160
Cs: 0.770 0.431 0.660
Cs: 0.867 0.730 0.380
Cs: 0.867 0.770 0.880
Pb: 0.041 0.579 0.594
Pb: 0.041 0.921 0.094
Pb: 0.095 0.655 0.773
Pb: 0.095 0.845 0.273
Pb: 0.100 0.714 0.134
Pb: 0.100 0.786 0.634
Pb: 0.291 0.690 0.560
Pb: 0.291 0.810 0.060
Pb: 0.298 0.006 0.276
Pb: 0.298 0.494 0.776
Pb: 0.323 0.011 0.102
Pb: 0.323 0.489 0.602
Pb: 0.429 0.678 0.869
Pb: 0.429 0.822 0.369
Pb: 0.442 0.697 0.226
Pb: 0.442 0.803 0.726
Pb: 0.450 0.103 0.755
Pb: 0.450 0.397 0.255
Pb: 0.550 0.603 0.745
Pb: 0.550 0.897 0.245
Pb: 0.558 0.197 0.274
Pb: 0.558 0.303 0.774
Pb: 0.571 0.178 0.631
Pb: 0.571 0.322 0.131
Pb: 0.677 0.511 0.398
Pb: 0.677 0.989 0.898
Pb: 0.702 0.506 0.224
Pb: 0.702 0.994 0.724
Pb: 0.709 0.190 0.940
Pb: 0.709 0.310 0.440
Pb: 0.900 0.214 0.366
Pb: 0.900 0.286 0.866
Pb: 0.905 0.155 0.727
Pb: 0.905 0.345 0.227
Pb: 0.959 0.079 0.906
Pb: 0.959 0.421 0.406

Main lines, sorted by position (10 to 80 degrees two-theta):
2theta, d_spacing, I_rel, h k l
10.4, 8.472, 43, 1 1 -1
11.1, 8.004, 100, 1 0 -2
25.8, 3.453, 26, 2 0 2
28.0, 3.188, 77, 1 4 -3
28.4, 3.146, 52, 2 2 2
30.8, 2.901, 29, 3 1 -5